Diffraction record for Li12Fe3CoP4C4O28. The powder X-ray diffraction pattern is simulated, not measured: it uses a GGA+U-relaxed structure and Cu Kα, 1.54184 Å.
No peak broadening, texture or thermal motion is included.

Structural model:
```
data_Li12Fe3CoP4C4O28
_symmetry_space_group_name_H-M 'P 1 m 1'
_symmetry_Int_Tables_number 6
_symmetry_space_group_name_Hall 'P -2y'
_cell_length_a 8.4972
_cell_length_b 6.4830
_cell_length_c 10.0307
_cell_angle_alpha 90.00
_cell_angle_beta 95.21
_cell_angle_gamma 90.00
loop_
_atom_site_label
_atom_site_type_symbol
_atom_site_fract_x
_atom_site_fract_y
_atom_site_fract_z
Li1 Li 0.0000 0.0000 0.0000
Li2 Li 0.0004 0.0000 0.4997
Li3 Li 0.1804 0.2285 0.2548
Li4 Li 0.1799 0.2281 0.7578
Li5 Li 0.6306 0.2720 0.0066
Li6 Li 0.6309 0.2716 0.5054
Li7 Li 0.8086 0.5000 0.2638
Li8 Li 0.8106 0.5000 0.7617
Fe1 Fe 0.2387 0.5000 0.4874
Fe2 Fe 0.5714 0.0000 0.2744
Fe3 Fe 0.5719 0.0000 0.7758
Co1 Co 0.2392 0.5000 0.9860
P1 P 0.3169 0.0000 0.0215
P2 P 0.3172 0.0000 0.5217
P3 P 0.4924 0.5000 0.2394
P4 P 0.4930 0.5000 0.7422
C1 C 0.8715 0.0000 0.2310
C2 C 0.8714 0.0000 0.7309
C3 C 0.9396 0.5000 0.5309
C4 C 0.9434 0.5000 0.0306
O1 O 0.0174 0.0000 0.2025
O2 O 0.0172 0.0000 0.7022
O3 O 0.0528 0.5000 0.6278
O4 O 0.0592 0.5000 0.1253
O5 O 0.2144 0.1874 0.9683
O6 O 0.2146 0.1869 0.4682
O7 O 0.3272 0.5000 0.2906
O8 O 0.3267 0.5000 0.7926
O9 O 0.3337 0.0000 0.1779
O10 O 0.3343 0.0000 0.6780
O11 O 0.4735 0.5000 0.0830
O12 O 0.4758 0.5000 0.5861
O13 O 0.4836 0.0000 0.4715
O14 O 0.4840 0.0000 0.9727
O15 O 0.5961 0.3133 0.7956
O16 O 0.5962 0.3135 0.2923
O17 O 0.7575 0.0000 0.6342
O18 O 0.7579 0.0000 0.1341
O19 O 0.7931 0.5000 0.5595
O20 O 0.7978 0.5000 0.0610
O21 O 0.8347 0.0000 0.3535
O22 O 0.8348 0.0000 0.8535
O23 O 0.9758 0.5000 0.4085
O24 O 0.9786 0.5000 0.9077
```

The 8 most intense peaks (2θ from 10° to 80°), sorted by position:
d 8.462, I = 83, (1 0 0)
d 5.146, I = 24, (1 1 0)
d 4.483, I = 38, (1 0 -2)
d 4.140, I = 49, (1 0 2)
d 3.384, I = 35, (2 0 -2)
d 3.242, I = 100, (0 2 0)
d 2.457, I = 28, (1 0 -4)
d 2.222, I = 22, (3 1 2)